# LiFeCu
Calculated powder diffraction line list, Cu Kα (λ = 1.5418 Å). Input: a DFT-relaxed cell (PBE, Alexandria).
Neutral-atom scattering factors, no anomalous dispersion.

Crystal structure
```
LiFeCu
1.0
2.4534 0.0000 0.0000
0.0000 3.9115 0.0000
0.0000 0.0000 7.6839
Li Fe Cu
2 2 2
Direct
0.0000 0.0000 0.0000
0.5000 0.5000 0.5000
0.0000 0.0000 0.3256
0.5000 0.5000 0.8256
0.0000 0.0000 0.6689
0.5000 0.5000 0.1689
```

Principal peaks in the range 2θ = 10–90°, low angle first:
2θ (°), I_rel, (hkl)
23.15, 63, 0 0 2
25.55, 71, 0 1 1
38.52, 23, 1 0 1
42.17, 100, 0 1 3
43.54, 92, 1 1 0
46.43, 38, 0 2 0
49.89, 30, 1 1 2
51.59, 53, 1 0 3
71.91, 36, 1 2 3
90.00, 19, 1 1 6